Entry 1:
Simulated powder XRD pattern
Compound: LaPmYMg
Radiation: Cu Kα, 1.54184 Å
Structure: a cell relaxed with GGA-PBE

The 10 most intense peaks (2θ = 10–90°), in order of falling intensity:
| hkl | 2theta | Rel. int. |
| --- | --- | --- |
| 1 0 2 | 30.8 | 100 |
| 1 1 0 | 34.2 | 40 |
| 2 1 2 | 59.1 | 31 |
| 1 0 1 | 25.8 | 26 |
| 1 1 4 | 52.6 | 19 |
| 2 0 0 | 49.1 | 14 |
| 0 0 4 | 38.8 | 12 |
| 1 1 3 | 45.3 | 11 |
| 2 0 4 | 64.3 | 10 |
| 1 0 5 | 55.3 | 9 |

Atomic structure:
```
data_LaPmYMg
_symmetry_space_group_name_H-M 'P 4 m m'
_symmetry_Int_Tables_number 99
_symmetry_space_group_name_Hall 'P 4 -2'
_cell_length_a 3.7128
_cell_length_b 3.7128
_cell_length_c 9.2803
_cell_angle_alpha 90.00
_cell_angle_beta 90.00
_cell_angle_gamma 90.00
loop_
_atom_site_label
_atom_site_type_symbol
_atom_site_fract_x
_atom_site_fract_y
_atom_site_fract_z
La1 La 0.0000 0.0000 0.0000
Pm1 Pm 0.5000 0.5000 0.7223
Y1 Y 0.0000 0.0000 0.4579
Mg1 Mg 0.5000 0.5000 0.2418
```



Entry 2:
Simulated powder XRD pattern
Compound: La12PrPb3
Radiation: Cu Kα, 1.54184 Å
Structure: a cell relaxed with GGA-PBE

The 10 most intense peaks (2θ = 10–90°), in order of falling intensity:
| hkl | 2theta | Rel. int. |
| --- | --- | --- |
| 1 1 4 | 30.2 | 100 |
| 2 0 0 | 35.2 | 34 |
| 3 1 4 | 60.1 | 29 |
| 2 0 8 | 50.2 | 23 |
| 0 0 8 | 34.7 | 17 |
| 1 1 12 | 59.4 | 13 |
| 2 2 0 | 50.6 | 12 |
| 2 2 8 | 62.8 | 12 |
| 3 1 12 | 81.7 | 11 |
| 3 3 4 | 82.3 | 6 |

Atomic structure:
```
data_La12PrPb3
_symmetry_space_group_name_H-M 'P 4/m m m'
_symmetry_Int_Tables_number 123
_symmetry_space_group_name_Hall '-P 4 2'
_cell_length_a 5.1020
_cell_length_b 5.1020
_cell_length_c 20.6940
_cell_angle_alpha 90.00
_cell_angle_beta 90.00
_cell_angle_gamma 90.00
loop_
_atom_site_label
_atom_site_type_symbol
_atom_site_fract_x
_atom_site_fract_y
_atom_site_fract_z
La1 La 0.0000 0.0000 0.0000
La2 La 0.0000 0.0000 0.2435
La3 La 0.0000 0.0000 0.5000
La4 La 0.0000 0.5000 0.1219
La5 La 0.0000 0.5000 0.3688
Pr1 Pr 0.5000 0.5000 0.5000
Pb1 Pb 0.5000 0.5000 0.0000
Pb2 Pb 0.5000 0.5000 0.2450
```



Entry 3:
Simulated powder XRD pattern
Compound: CeSe2
Radiation: Cu Kα, 1.54184 Å
Structure: a cell relaxed with GGA-PBE

The 10 most intense peaks (2θ = 10–90°), in order of falling intensity:
| hkl | 2theta | Rel. int. |
| --- | --- | --- |
| 1 2 1 | 22.3 | 100 |
| 2 0 2 | 36.2 | 51 |
| 0 2 3 | 39.3 | 40 |
| 1 6 1 | 44.5 | 40 |
| 1 4 1 | 32.3 | 37 |
| 2 4 0 | 37.9 | 34 |
| 2 2 1 | 32.1 | 32 |
| 3 2 1 | 44.3 | 29 |
| 0 4 2 | 36.4 | 28 |
| 1 4 2 | 38.8 | 27 |

Atomic structure:
```
data_CeSe2
_symmetry_space_group_name_H-M 'P b c a'
_symmetry_Int_Tables_number 61
_symmetry_space_group_name_Hall '-P 2ac 2ab'
_cell_length_a 6.7428
_cell_length_b 13.3918
_cell_length_c 7.3121
_cell_angle_alpha 90.00
_cell_angle_beta 90.00
_cell_angle_gamma 90.00
loop_
_atom_site_label
_atom_site_type_symbol
_atom_site_fract_x
_atom_site_fract_y
_atom_site_fract_z
Ce1 Ce 0.2364 0.1090 0.0548
Se1 Se 0.0021 0.0363 0.7384
Se2 Se 0.1531 0.7039 0.3883
```



Entry 4:
Simulated powder XRD pattern
Compound: Tl2Hg9Au
Radiation: Cu Kα, 1.54184 Å
Structure: a cell relaxed with GGA-PBE

The 10 most intense peaks (2θ = 10–90°), in order of falling intensity:
| hkl | 2theta | Rel. int. |
| --- | --- | --- |
| 1 1 -3 | 31.7 | 100 |
| 1 1 3 | 34.0 | 77 |
| 2 0 0 | 33.5 | 44 |
| 0 2 0 | 39.9 | 28 |
| 2 2 0 | 53.1 | 24 |
| 0 0 6 | 40.7 | 20 |
| 3 1 -3 | 57.4 | 19 |
| 0 2 6 | 58.3 | 14 |
| 2 0 -6 | 50.6 | 12 |
| 1 3 -3 | 67.4 | 12 |

Atomic structure:
```
data_Tl2Hg9Au
_symmetry_space_group_name_H-M 'P 1 2/m 1'
_symmetry_Int_Tables_number 10
_symmetry_space_group_name_Hall '-P 2y'
_cell_length_a 5.3755
_cell_length_b 4.5173
_cell_length_c 13.3900
_cell_angle_alpha 90.00
_cell_angle_beta 96.06
_cell_angle_gamma 90.00
loop_
_atom_site_label
_atom_site_type_symbol
_atom_site_fract_x
_atom_site_fract_y
_atom_site_fract_z
Tl1 Tl 0.0256 0.0000 0.1858
Hg1 Hg 0.0000 0.5000 0.0000
Hg2 Hg 0.0046 0.5000 0.3587
Hg3 Hg 0.4683 0.0000 0.6556
Hg4 Hg 0.4827 0.5000 0.8273
Hg5 Hg 0.5000 0.0000 0.0000
Hg6 Hg 0.5000 0.5000 0.5000
Au1 Au 0.0000 0.0000 0.5000
```



Entry 5:
Simulated powder XRD pattern
Compound: In11Pd9Pt4
Radiation: Cu Kα, 1.54184 Å
Structure: a cell relaxed with GGA-PBE

The 10 most intense peaks (2θ = 10–90°), in order of falling intensity:
| hkl | 2theta | Rel. int. |
| --- | --- | --- |
| 0 6 1 | 38.6 | 100 |
| 4 6 0 | 38.2 | 45 |
| 3 5 1 | 41.0 | 15 |
| 4 6 2 | 70.1 | 15 |
| 5 5 0 | 40.7 | 14 |
| 0 0 2 | 56.3 | 12 |
| 9 5 1 | 74.1 | 12 |
| 5 11 1 | 68.9 | 11 |
| 1 5 1 | 36.2 | 9 |
| 2 4 1 | 35.5 | 8 |

Atomic structure:
```
data_In11Pd9Pt4
_symmetry_space_group_name_H-M 'C m m m'
_symmetry_Int_Tables_number 65
_symmetry_space_group_name_Hall '-C 2 2'
_cell_length_a 13.3480
_cell_length_b 19.9514
_cell_length_c 3.2693
_cell_angle_alpha 90.00
_cell_angle_beta 90.00
_cell_angle_gamma 90.00
loop_
_atom_site_label
_atom_site_type_symbol
_atom_site_fract_x
_atom_site_fract_y
_atom_site_fract_z
In1 In 0.0000 0.0000 0.0000
In2 In 0.0000 0.1783 0.0000
In3 In 0.0000 0.3730 0.0000
In4 In 0.2321 0.1756 0.0000
In5 In 0.2442 0.0000 0.0000
Pd1 Pd 0.0000 0.5000 0.5000
Pd2 Pd 0.1121 0.2656 0.5000
Pd3 Pd 0.1129 0.0873 0.5000
Pt1 Pt 0.1612 0.4089 0.5000
```



Entry 6:
Simulated powder XRD pattern
Compound: NbCr3Ag2S8
Radiation: Cu Kα, 1.54184 Å
Structure: a cell relaxed with GGA-PBE

The 10 most intense peaks (2θ = 10–90°), in order of falling intensity:
| hkl | 2theta | Rel. int. |
| --- | --- | --- |
| 1 1 1 | 24.3 | 100 |
| 1 1 -2 | 28.6 | 95 |
| 2 2 2 | 49.8 | 87 |
| 3 1 0 | 28.9 | 56 |
| 6 2 -2 | 50.7 | 54 |
| 2 2 -1 | 28.8 | 54 |
| 3 1 -2 | 29.0 | 50 |
| 4 0 1 | 45.7 | 42 |
| 5 1 0 | 46.0 | 38 |
| 3 1 -1 | 24.7 | 33 |

Atomic structure:
```
data_NbCr3Ag2S8
_symmetry_space_group_name_H-M 'C 1 2 1'
_symmetry_Int_Tables_number 5
_symmetry_space_group_name_Hall 'C 2y'
_cell_length_a 12.4009
_cell_length_b 7.3244
_cell_length_c 7.2508
_cell_angle_alpha 90.00
_cell_angle_beta 124.36
_cell_angle_gamma 90.00
loop_
_atom_site_label
_atom_site_type_symbol
_atom_site_fract_x
_atom_site_fract_y
_atom_site_fract_z
Nb1 Nb 0.0000 0.0000 0.0000
Cr1 Cr 0.0000 0.9548 0.5000
Cr2 Cr 0.2483 0.2081 0.0030
Ag1 Ag 0.1296 0.4788 0.3774
S1 S 0.0077 0.1953 0.7457
S2 S 0.0185 0.7417 0.7680
S3 S 0.2337 0.9612 0.7681
S4 S 0.2391 0.9539 0.2098
```



Entry 7:
Simulated powder XRD pattern
Compound: S5Cl2O2
Radiation: Cu Kα, 1.54184 Å
Structure: a cell relaxed with GGA-PBE

The 10 most intense peaks (2θ = 10–90°), in order of falling intensity:
| hkl | 2theta | Rel. int. |
| --- | --- | --- |
| 0 2 0 | 15.6 | 100 |
| 0 2 1 | 22.2 | 59 |
| 1 1 -1 | 16.7 | 46 |
| 2 2 -1 | 22.5 | 30 |
| 3 3 -1 | 30.6 | 29 |
| 2 0 2 | 37.6 | 27 |
| 2 2 1 | 27.6 | 27 |
| 1 1 1 | 20.1 | 26 |
| 3 1 0 | 19.4 | 23 |
| 1 3 -1 | 27.8 | 19 |

Atomic structure:
```
data_S5Cl2O2
_symmetry_space_group_name_H-M 'C 1 2 1'
_symmetry_Int_Tables_number 5
_symmetry_space_group_name_Hall 'C 2y'
_cell_length_a 15.8987
_cell_length_b 11.3732
_cell_length_c 6.0185
_cell_angle_alpha 90.00
_cell_angle_beta 109.85
_cell_angle_gamma 90.00
loop_
_atom_site_label
_atom_site_type_symbol
_atom_site_fract_x
_atom_site_fract_y
_atom_site_fract_z
S1 S 0.0661 0.0000 0.0404
S2 S 0.0655 0.2472 0.5814
S3 S 0.1250 0.8712 0.3362
S4 S 0.1311 0.3648 0.3796
S5 S 0.2374 0.4017 0.7840
Cl1 Cl 0.0000 0.3975 0.0000
Cl2 Cl 0.0000 0.8767 0.5000
Cl3 Cl 0.1893 0.5596 0.8223
O1 O 0.1171 0.7500 0.2475
O2 O 0.1854 0.2878 0.2867
```



Entry 8:
Simulated powder XRD pattern
Compound: NaTlSnBr4
Radiation: Cu Kα, 1.54184 Å
Structure: a cell relaxed with GGA-PBE

The 10 most intense peaks (2θ = 10–90°), in order of falling intensity:
| hkl | 2theta | Rel. int. |
| --- | --- | --- |
| 1 1 0 | 15.5 | 100 |
| 2 1 -2 | 28.9 | 50 |
| 1 1 2 | 28.4 | 46 |
| 0 2 2 | 30.2 | 30 |
| 1 2 -2 | 30.4 | 29 |
| 0 2 0 | 21.4 | 28 |
| 3 2 0 | 40.5 | 23 |
| 1 0 0 | 11.2 | 23 |
| 3 0 -2 | 35.4 | 22 |
| 4 1 0 | 47.2 | 20 |

Atomic structure:
```
data_NaTlSnBr4
_symmetry_space_group_name_H-M 'P 1 21/m 1'
_symmetry_Int_Tables_number 11
_symmetry_space_group_name_Hall '-P 2yb'
_cell_length_a 8.1767
_cell_length_b 8.3020
_cell_length_c 8.7129
_cell_angle_alpha 90.00
_cell_angle_beta 104.28
_cell_angle_gamma 90.00
loop_
_atom_site_label
_atom_site_type_symbol
_atom_site_fract_x
_atom_site_fract_y
_atom_site_fract_z
Na1 Na 0.2017 0.2500 0.1641
Tl1 Tl 0.3321 0.7500 0.4694
Sn1 Sn 0.3220 0.7500 0.9767
Br1 Br 0.0533 0.7500 0.1242
Br2 Br 0.0655 0.7500 0.6835
Br3 Br 0.4659 0.0102 0.2201
```